Record 1
Calculated powder X-ray diffraction pattern of Hf8RePb2 for CuKα, from a structure optimized by DFT (PBE).

Most intense lines, 2θ from 15° to 90°, in order of falling intensity:
Position (°2θ), I (rel.)
35.9, 100.0
39.2, 54.3
37.8, 53.4
31.5, 42.7
38.4, 23.9
55.0, 17.1
67.0, 16.6
38.7, 15.7

Crystal structure
```
Hf8RePb2
1.0
9.2918 -2.3809 0.0000
9.2918 2.3809 0.0000
-1.7984 0.0000 5.6648
Hf Re Pb
8 1 2
Cartesian
-0.1086 0.0000 1.5398
2.7443 0.0000 4.8181
5.7845 0.0000 2.5206
7.7435 0.0000 0.0643
9.0417 0.0000 5.6006
11.0007 0.0000 3.1442
14.0408 0.0000 0.8468
16.8937 0.0000 4.1251
8.3926 0.0000 2.8324
2.8607 0.0000 1.6070
13.9244 0.0000 4.0579
```


Record 2
Calculated powder X-ray diffraction pattern of HfPbS2 for CuKα, from a structure optimized by DFT (PBE).

Most intense lines, 2θ from 15° to 90°, in order of falling intensity:
Position (°2θ), I (rel.)
27.5, 100.0
22.2, 40.3
34.7, 21.4
36.1, 16.3
42.3, 15.8
35.5, 15.4
39.3, 15.1
29.9, 14.4

Crystal structure
```
HfPbS2
1.0
4.9741 0.0000 0.0000
0.0000 10.1266 0.0000
0.0000 0.0000 8.0209
Hf Pb S
4 4 8
Cartesian
0.2969 0.9409 0.0000
2.1901 6.0042 4.0104
2.7840 4.1224 0.0000
4.6772 9.1857 4.0104
0.2864 3.5079 3.2276
2.2006 8.5712 7.2381
2.7735 1.5554 3.2276
4.6877 6.6187 7.2381
0.0238 0.9181 5.6301
0.2908 3.4980 0.3750
2.1963 8.5613 4.3854
2.4633 5.9814 1.6196
2.5108 4.1452 5.6301
2.7778 1.5653 0.3750
4.6834 6.6286 4.3854
4.9504 9.2085 1.6196
```


Record 3
Calculated powder X-ray diffraction pattern of Hf12SbPb3 for CuKα, from a structure optimized by DFT (PBE).

Most intense lines, 2θ from 15° to 90°, in order of falling intensity:
Position (°2θ), I (rel.)
35.7, 100.0
39.3, 81.0
61.7, 36.2
31.8, 35.4
59.2, 15.7
77.9, 14.2
66.6, 11.3
80.1, 10.6

Crystal structure
```
Hf12SbPb3
1.0
5.6158 0.0000 0.0000
0.0000 5.6182 0.0000
0.0000 0.0000 11.2608
Hf Sb Pb
12 1 3
Cartesian
0.0000 0.0000 1.4017
0.0000 0.0000 4.2210
0.0000 0.0000 7.0398
0.0000 0.0000 9.8590
1.3993 2.8091 2.8541
1.3993 2.8091 8.4067
2.8079 1.4020 0.0000
2.8079 1.4069 5.6304
2.8079 4.2162 0.0000
2.8079 4.2113 5.6304
4.2165 2.8091 2.8541
4.2165 2.8091 8.4067
0.0000 2.8091 5.6304
0.0000 2.8091 0.0000
2.8079 0.0000 2.8162
2.8079 0.0000 8.4446
```